For Rb3Si2As4, a DFT-relaxed cell (PBE, Alexandria) gives the simulated powder X-ray diffraction pattern in this record (CuKα).

The 8 most intense peaks (2θ = 10–90°), low angle first:
two_theta	I_rel
22.7	63.0
28.0	81.0
28.8	82.2
29.6	91.4
29.9	76.4
32.4	100.0
34.1	87.6
40.5	71.5

Atomic structure:
Lattice parameters (Å, degrees): 9.568 9.568 6.864 91.67 91.67 69.64
Sites, in units of the cell vectors:
Rb: 0.105 0.895 0.750
Rb: 0.245 0.505 0.472
Rb: 0.495 0.755 0.028
Rb: 0.505 0.245 0.972
Rb: 0.755 0.495 0.528
Rb: 0.895 0.105 0.250
Si: 0.099 0.331 0.960
Si: 0.331 0.099 0.460
Si: 0.669 0.901 0.540
Si: 0.901 0.669 0.040
As: 0.105 0.239 0.622
As: 0.162 0.554 0.980
As: 0.239 0.105 0.122
As: 0.446 0.838 0.520
As: 0.554 0.162 0.480
As: 0.761 0.895 0.878
As: 0.838 0.446 0.020
As: 0.895 0.761 0.378

For LaNd2DyHo, a DFT-relaxed cell (PBE, Alexandria) gives the simulated powder X-ray diffraction pattern in this record (CuKα).

The 8 most intense peaks (2θ = 10–90°), low angle first:
two_theta	I_rel
27.3	74.5
28.5	57.6
29.2	99.1
30.2	100.0
31.9	66.6
34.7	56.1
42.2	49.6
57.3	46.1

Atomic structure:
Lattice parameters (Å, degrees): 8.600 6.553 6.324 90.00 97.92 90.00
Sites, in units of the cell vectors:
La: 0.000 0.000 0.000
La: 0.000 0.000 0.500
Nd: 0.313 0.313 0.205
Nd: 0.313 0.687 0.705
Nd: 0.687 0.313 0.295
Nd: 0.687 0.687 0.795
Dy: 0.000 0.441 0.750
Dy: 0.000 0.559 0.250
Ho: 0.500 0.165 0.750
Ho: 0.500 0.835 0.250